Diffraction record for Cs2Nb3Cl7O5. The XRD peak list is computed, not measured: it uses DFT lattice parameters and positions (GGA-PBE) and Cu Ka.
Neutral-atom scattering factors, no anomalous dispersion.

Crystal structure
```
Cs2Nb3Cl7O5
1.0
8.8608 -4.5386 0.0000
8.8608 4.5386 0.0000
-3.7403 0.0000 10.7043
Cs Nb Cl O
4 6 14 10
direct
0.1586 0.2472 0.3546
0.2472 0.1586 0.8546
0.7528 0.8414 0.1454
0.8414 0.7528 0.6454
0.2089 0.7866 0.0258
0.2134 0.7911 0.4742
0.4673 0.5327 0.7500
0.5327 0.4673 0.2500
0.7866 0.2089 0.5258
0.7911 0.2134 0.9742
0.0652 0.6465 0.3839
0.0686 0.6367 0.9642
0.0966 0.9034 0.2500
0.2913 0.4213 0.6770
0.3535 0.9348 0.1161
0.3633 0.9314 0.5358
0.4213 0.2913 0.1770
0.5787 0.7087 0.8230
0.6367 0.0686 0.4642
0.6465 0.0652 0.8839
0.7087 0.5787 0.3230
0.9034 0.0966 0.7500
0.9314 0.3633 0.0358
0.9348 0.3535 0.6161
0.0000 0.0000 0.0000
0.0000 0.0000 0.5000
0.2878 0.7111 0.8791
0.2889 0.7122 0.6209
0.3965 0.6026 0.1258
0.3974 0.6035 0.3742
0.6026 0.3965 0.6258
0.6035 0.3974 0.8742
0.7111 0.2878 0.3791
0.7122 0.2889 0.1209
```

Main lines, in order of rising 2θ (2θ from 10° to 80°):
10.58°, I 22
21.24°, I 58
21.40°, I 38
22.27°, I 28
25.70°, I 100
31.57°, I 31
32.10°, I 27
37.08°, I 22

Diffraction record for ReSn2Se. The XRD peak list is computed, not measured: it uses DFT lattice parameters and positions (GGA-PBE) and Cu Ka.
Neutral-atom scattering factors, no anomalous dispersion.

Crystal structure
```
ReSn2Se
1.0
0.0000 3.4340 3.4340
3.4340 0.0000 3.4340
3.4340 3.4340 0.0000
Re Sn Se
1 2 1
direct
0.0000 0.0000 0.0000
0.2500 0.2500 0.2500
0.5000 0.5000 0.5000
0.7500 0.7500 0.7500
```

Main lines, in order of rising 2θ (2θ from 10° to 80°):
22.42°, I 5
25.95°, I 5
37.02°, I 100
43.71°, I 3
53.36°, I 18
60.26°, I 2
66.72°, I 37
78.84°, I 12